1.
Structure and theoretical XRD peak list of CsTlCo2Cl8 (a crystal structure in Alexandria, relaxed with PBE; Cu Kα, 1.54184 Å).
Lines closer than 0.1° are merged.

Principal peaks in the range 15° ≤ 2θ ≤ 90°, by intensity:
| two_theta | d_spacing | I (rel.) |
| --- | --- | --- |
| 19.2 | 4.634 | 100 |
| 26.0 | 3.421 | 45 |
| 31.8 | 2.816 | 41 |
| 28.3 | 3.150 | 38 |
| 45.2 | 2.007 | 31 |
| 42.1 | 2.144 | 24 |
| 32.5 | 2.752 | 24 |
| 45.9 | 1.975 | 24 |
| 47.4 | 1.919 | 16 |
| 59.9 | 1.545 | 13 |

```
data_CsTlCo2Cl8
_chemical_formula_sum 'Cs1 Tl1 Co2 Cl8'
_space_group_name_H-M_alt 'P 1'
_space_group_IT_number 1
_cell_length_a 10.6737
_cell_length_b 10.6737
_cell_length_c 10.6737
_cell_angle_alpha 37.39
_cell_angle_beta 37.39
_cell_angle_gamma 37.39
loop_
_space_group_symop_operation_xyz
'x,y,z'
loop_
_atom_site_label
_atom_site_type_symbol
_atom_site_fract_x
_atom_site_fract_y
_atom_site_fract_z
Cs1 Cs 0.0000 0.0000 0.0000
Tl1 Tl 0.5000 0.5000 0.5000
Co1 Co 0.2546 0.2546 0.2546
Co2 Co 0.7454 0.7454 0.7454
Cl1 Cl 0.0466 0.4481 0.8136
Cl2 Cl 0.1864 0.9534 0.5519
Cl3 Cl 0.3277 0.3277 0.3277
Cl4 Cl 0.4481 0.8136 0.0466
Cl5 Cl 0.5519 0.1864 0.9534
Cl6 Cl 0.6723 0.6723 0.6723
Cl7 Cl 0.8136 0.0466 0.4481
Cl8 Cl 0.9534 0.5519 0.1864
```

2.
Structure and theoretical XRD peak list of GeAsH2Se (a crystal structure in Alexandria, relaxed with PBE; Cu Kα, 1.54184 Å).
Lines closer than 0.1° are merged.

Principal peaks in the range 15° ≤ 2θ ≤ 90°, by intensity:
| two_theta | d_spacing | I (rel.) |
| --- | --- | --- |
| 17.2 | 5.154 | 100 |
| 32.8 | 2.728 | 71 |
| 30.7 | 2.917 | 36 |
| 29.1 | 3.066 | 33 |
| 48.9 | 1.861 | 25 |
| 15.2 | 5.833 | 24 |
| 39.7 | 2.269 | 23 |
| 54.2 | 1.694 | 18 |
| 43.3 | 2.091 | 17 |
| 50.7 | 1.800 | 17 |

```
data_GeAsH2Se
_chemical_formula_sum 'Ge1 As1 H2 Se1'
_space_group_name_H-M_alt 'P 1'
_space_group_IT_number 1
_cell_length_a 2.8294
_cell_length_b 6.3444
_cell_length_c 6.4302
_cell_angle_alpha 66.48
_cell_angle_beta 77.40
_cell_angle_gamma 77.21
loop_
_space_group_symop_operation_xyz
'x,y,z'
loop_
_atom_site_label
_atom_site_type_symbol
_atom_site_fract_x
_atom_site_fract_y
_atom_site_fract_z
Ge1 Ge 0.0000 0.0000 0.0000
As1 As 0.9229 0.7230 0.4337
H1 H 0.0665 0.5181 0.3496
H2 H 0.1390 0.9419 0.7769
Se1 Se 0.8461 0.4161 0.8950
```

3.
Structure and theoretical XRD peak list of BaCe3B4O12 (a crystal structure in Alexandria, relaxed with PBE; Cu Kα, 1.54184 Å).
Lines closer than 0.1° are merged.

Principal peaks in the range 15° ≤ 2θ ≤ 90°, by intensity:
| two_theta | d_spacing | I (rel.) |
| --- | --- | --- |
| 27.6 | 3.226 | 100 |
| 21.9 | 4.068 | 87 |
| 40.9 | 2.205 | 37 |
| 45.6 | 1.990 | 33 |
| 34.2 | 2.620 | 29 |
| 44.2 | 2.047 | 25 |
| 57.4 | 1.606 | 15 |
| 44.6 | 2.033 | 15 |
| 54.4 | 1.686 | 12 |
| 27.8 | 3.213 | 12 |

```
data_BaCe3B4O12
_chemical_formula_sum 'Ba1 Ce3 B4 O12'
_space_group_name_H-M_alt 'P 1'
_space_group_IT_number 1
_cell_length_a 6.7796
_cell_length_b 6.7796
_cell_length_c 6.7796
_cell_angle_alpha 101.23
_cell_angle_beta 101.23
_cell_angle_gamma 101.23
loop_
_space_group_symop_operation_xyz
'x,y,z'
loop_
_atom_site_label
_atom_site_type_symbol
_atom_site_fract_x
_atom_site_fract_y
_atom_site_fract_z
Ba1 Ba 0.0000 0.0000 0.0000
Ce1 Ce 0.0000 0.5364 0.4636
Ce2 Ce 0.4636 0.0000 0.5364
Ce3 Ce 0.5364 0.4636 0.0000
B1 B 0.0400 0.5000 0.9600
B2 B 0.5000 0.5000 0.5000
B3 B 0.5000 0.9600 0.0400
B4 B 0.9600 0.0400 0.5000
O1 O 0.0168 0.6092 0.8085
O2 O 0.0938 0.9062 0.5000
O3 O 0.1915 0.3908 0.9832
O4 O 0.3673 0.6327 0.5000
O5 O 0.3908 0.9832 0.1915
O6 O 0.5000 0.0938 0.9062
O7 O 0.5000 0.3673 0.6327
O8 O 0.6092 0.8085 0.0168
O9 O 0.6327 0.5000 0.3673
O10 O 0.8085 0.0168 0.6092
O11 O 0.9062 0.5000 0.0938
O12 O 0.9832 0.1915 0.3908
```

4.
Structure and theoretical XRD peak list of Ba3Si4 (a crystal structure in Alexandria, relaxed with PBE; Cu Kα, 1.54184 Å).
Lines closer than 0.1° are merged.

Principal peaks in the range 15° ≤ 2θ ≤ 90°, by intensity:
| two_theta | d_spacing | I (rel.) |
| --- | --- | --- |
| 25.6 | 3.485 | 100 |
| 29.4 | 3.034 | 49 |
| 32.2 | 2.782 | 44 |
| 24.6 | 3.614 | 43 |
| 27.6 | 3.229 | 35 |
| 47.4 | 1.918 | 32 |
| 45.1 | 2.009 | 30 |
| 44.9 | 2.020 | 30 |
| 32.4 | 2.764 | 28 |
| 33.1 | 2.705 | 27 |

```
data_Ba3Si4
_chemical_formula_sum 'Ba12 Si16'
_space_group_name_H-M_alt 'P 1'
_space_group_IT_number 1
_cell_length_a 8.5814
_cell_length_b 8.5814
_cell_length_c 11.9530
_cell_angle_alpha 90.00
_cell_angle_beta 90.00
_cell_angle_gamma 90.00
loop_
_space_group_symop_operation_xyz
'x,y,z'
loop_
_atom_site_label
_atom_site_type_symbol
_atom_site_fract_x
_atom_site_fract_y
_atom_site_fract_z
Ba1 Ba 0.0000 0.0000 0.1693
Ba2 Ba 0.0000 0.0000 0.8308
Ba3 Ba 0.0000 0.5000 0.2500
Ba4 Ba 0.0000 0.5000 0.7500
Ba5 Ba 0.1640 0.1640 0.5000
Ba6 Ba 0.3360 0.6640 0.0000
Ba7 Ba 0.5000 0.0000 0.2500
Ba8 Ba 0.5000 0.0000 0.7500
Ba9 Ba 0.5000 0.5000 0.3308
Ba10 Ba 0.5000 0.5000 0.6692
Ba11 Ba 0.6640 0.3360 0.0000
Ba12 Ba 0.8360 0.8360 0.5000
Si1 Si 0.1003 0.3002 0.0000
Si2 Si 0.1993 0.8007 0.3560
Si3 Si 0.1993 0.8007 0.6440
Si4 Si 0.1998 0.6003 0.5000
Si5 Si 0.3002 0.1003 0.0000
Si6 Si 0.3007 0.3007 0.1440
Si7 Si 0.3007 0.3007 0.8560
Si8 Si 0.3997 0.8002 0.5000
Si9 Si 0.6003 0.1998 0.5000
Si10 Si 0.6993 0.6993 0.1440
Si11 Si 0.6993 0.6993 0.8560
Si12 Si 0.6998 0.8997 0.0000
Si13 Si 0.8002 0.3997 0.5000
Si14 Si 0.8007 0.1993 0.3560
Si15 Si 0.8007 0.1993 0.6440
Si16 Si 0.8997 0.6998 0.0000
```

5.
Structure and theoretical XRD peak list of Rb5InO4 (a crystal structure in Alexandria, relaxed with PBE; Cu Kα, 1.54184 Å).
Lines closer than 0.1° are merged.

Principal peaks in the range 15° ≤ 2θ ≤ 90°, by intensity:
| two_theta | d_spacing | I (rel.) |
| --- | --- | --- |
| 33.4 | 2.683 | 100 |
| 28.3 | 3.158 | 98 |
| 31.4 | 2.845 | 48 |
| 28.0 | 3.190 | 48 |
| 28.6 | 3.124 | 47 |
| 47.9 | 1.897 | 33 |
| 46.9 | 1.937 | 31 |
| 46.1 | 1.968 | 28 |
| 58.5 | 1.579 | 15 |
| 54.5 | 1.683 | 15 |

```
data_Rb5InO4
_chemical_formula_sum 'Rb5 In1 O4'
_space_group_name_H-M_alt 'P 1'
_space_group_IT_number 1
_cell_length_a 8.9916
_cell_length_b 8.9916
_cell_length_c 7.5888
_cell_angle_alpha 103.46
_cell_angle_beta 103.46
_cell_angle_gamma 24.37
loop_
_space_group_symop_operation_xyz
'x,y,z'
loop_
_atom_site_label
_atom_site_type_symbol
_atom_site_fract_x
_atom_site_fract_y
_atom_site_fract_z
Rb1 Rb 0.0000 0.0000 0.0000
Rb2 Rb 0.3437 0.3437 0.6423
Rb3 Rb 0.3499 0.3499 0.1851
Rb4 Rb 0.6501 0.6501 0.8149
Rb5 Rb 0.6563 0.6563 0.3577
In1 In 0.0000 0.0000 0.5000
O1 O 0.1292 0.1292 0.5743
O2 O 0.4988 0.4988 0.7112
O3 O 0.5012 0.5012 0.2888
O4 O 0.8708 0.8708 0.4257
```

6.
Structure and theoretical XRD peak list of RbPr2HgS4 (a crystal structure in Alexandria, relaxed with PBE; Cu Kα, 1.54184 Å).
Lines closer than 0.1° are merged.

Principal peaks in the range 15° ≤ 2θ ≤ 90°, by intensity:
| two_theta | d_spacing | I (rel.) |
| --- | --- | --- |
| 30.6 | 2.918 | 100 |
| 24.9 | 3.573 | 83 |
| 42.3 | 2.138 | 43 |
| 32.8 | 2.729 | 31 |
| 54.6 | 1.682 | 26 |
| 24.1 | 3.693 | 25 |
| 28.4 | 3.146 | 24 |
| 42.4 | 2.134 | 23 |
| 44.7 | 2.026 | 17 |
| 51.2 | 1.784 | 17 |

```
data_RbPr2HgS4
_chemical_formula_sum 'Rb2 Pr4 Hg2 S8'
_space_group_name_H-M_alt 'P 1'
_space_group_IT_number 1
_cell_length_a 7.4458
_cell_length_b 7.4458
_cell_length_c 14.7707
_cell_angle_alpha 90.00
_cell_angle_beta 90.00
_cell_angle_gamma 146.69
loop_
_space_group_symop_operation_xyz
'x,y,z'
loop_
_atom_site_label
_atom_site_type_symbol
_atom_site_fract_x
_atom_site_fract_y
_atom_site_fract_z
Rb1 Rb 0.1197 0.8803 0.7500
Rb2 Rb 0.8803 0.1197 0.2500
Pr1 Pr 0.3739 0.6261 0.5557
Pr2 Pr 0.3739 0.6261 0.9443
Pr3 Pr 0.6261 0.3739 0.0557
Pr4 Pr 0.6261 0.3739 0.4443
Hg1 Hg 0.1589 0.8411 0.2500
Hg2 Hg 0.8411 0.1589 0.7500
S1 S 0.0000 0.0000 0.0000
S2 S 0.0000 0.0000 0.5000
S3 S 0.2625 0.7375 0.1035
S4 S 0.2625 0.7375 0.3965
S5 S 0.4426 0.5574 0.7500
S6 S 0.5574 0.4426 0.2500
S7 S 0.7375 0.2625 0.6035
S8 S 0.7375 0.2625 0.8965
```